Entry 1:
For Li2Ni3P4O14, a structure optimized by DFT (GGA+U) gives the theoretical PXRD pattern in this record (Cu Kα, 1.54184 Å).

Crystal structure
```
data_Li2Ni3P4O14
_symmetry_space_group_name_H-M 'P -1'
_symmetry_Int_Tables_number 2
_cell_length_a 5.5176
_cell_length_b 6.9809
_cell_length_c 7.2787
_cell_angle_alpha 100.28
_cell_angle_beta 95.24
_cell_angle_gamma 111.96
loop_
_symmetry_equiv_pos_as_xyz
'x,y,z'
'-x,-y,-z'
loop_
_atom_site_label
_atom_site_fract_x
_atom_site_fract_y
_atom_site_fract_z
Li1 0.1685 0.0051 0.3117
Ni1 0.1701 0.4876 0.6735
Ni2 0.5000 0.0000 0.0000
P1 0.1355 0.2964 0.0621
P2 0.4399 0.7199 0.3471
O1 0.0891 0.2887 0.8513
O2 0.1189 0.7325 0.8512
O3 0.2108 0.6551 0.4623
O4 0.2657 0.1478 0.1078
O5 0.3051 0.2681 0.5376
O6 0.3606 0.5290 0.1611
O7 0.4710 0.9156 0.2719
```

Main lines, in order of rising 2θ (10° ≤ 2θ ≤ 90°):
index, 2θ (°), intensity
0 1 0, 14.06, 69
0 1 1, 20.96, 79
0 1 -2, 25.96, 100
1 1 0, 26.69, 61
-1 2 1, 31.11, 83
1 1 1, 32.26, 97

Entry 2:
For K3MoIO13, a structure optimized by DFT (GGA+U) gives the theoretical PXRD pattern in this record (Cu Kα, 1.54184 Å).

Crystal structure
```
data_K3MoIO13
_symmetry_space_group_name_H-M 'P -1'
_symmetry_Int_Tables_number 2
_cell_length_a 7.9556
_cell_length_b 8.0434
_cell_length_c 10.0771
_cell_angle_alpha 109.68
_cell_angle_beta 91.46
_cell_angle_gamma 99.33
loop_
_symmetry_equiv_pos_as_xyz
'x,y,z'
'-x,-y,-z'
loop_
_atom_site_label
_atom_site_fract_x
_atom_site_fract_y
_atom_site_fract_z
K1 0.0485 0.2186 0.3662
K2 0.0659 0.7544 0.0335
K3 0.4347 0.3346 0.6802
Mo1 0.3371 0.1367 0.0016
I1 0.4025 0.8235 0.7181
O1 0.0337 0.5405 0.2707
O2 0.0748 0.8350 0.3492
O3 0.1632 0.1166 0.1058
O4 0.1888 0.5535 0.3034
O5 0.2294 0.8353 0.3711
O6 0.2337 0.8929 0.8633
O7 0.2544 0.6113 0.6277
O8 0.2752 0.2751 0.9120
O9 0.3188 0.9644 0.6311
O10 0.3315 0.5859 0.0396
O11 0.4113 0.2236 0.3805
O12 0.4624 0.9653 0.1238
O13 0.4877 0.7016 0.8577
```

Main lines, in order of rising 2θ (10° ≤ 2θ ≤ 90°):
index, 2θ (°), intensity
1 0 0, 11.31, 74
0 1 0, 11.88, 58
0 1 -1, 12.33, 100
1 1 -1, 17.66, 69
2 0 1, 25.39, 46
0 0 3, 28.33, 78

Entry 3:
For Li2FeP4O13, a structure optimized by DFT (GGA+U) gives the theoretical PXRD pattern in this record (Cu Kα, 1.54184 Å).

Crystal structure
```
data_Li2FeP4O13
_symmetry_space_group_name_H-M 'P -1'
_symmetry_Int_Tables_number 2
_cell_length_a 5.1096
_cell_length_b 8.0219
_cell_length_c 13.7533
_cell_angle_alpha 79.76
_cell_angle_beta 83.53
_cell_angle_gamma 80.82
loop_
_symmetry_equiv_pos_as_xyz
'x,y,z'
'-x,-y,-z'
loop_
_atom_site_label
_atom_site_fract_x
_atom_site_fract_y
_atom_site_fract_z
Li1 0.0759 0.3261 0.0060
Li2 0.3471 0.3291 0.4721
Fe1 0.4305 0.0558 0.2591
P1 0.0043 0.0976 0.8464
P2 0.1292 0.7933 0.6411
P3 0.2969 0.6674 0.3014
P4 0.3496 0.5752 0.8201
O1 0.0323 0.7470 0.2470
O2 0.0719 0.8273 0.0589
O3 0.1435 0.6420 0.7378
O4 0.1543 0.0404 0.1686
O5 0.1725 0.1493 0.3644
O6 0.1934 0.5286 0.9171
O7 0.2324 0.5267 0.3814
O8 0.2607 0.7194 0.5516
O9 0.2713 0.9357 0.6635
O10 0.3058 0.0361 0.8447
O11 0.4157 0.8127 0.3297
O12 0.4545 0.2986 0.1855
O13 0.4959 0.6009 0.2110
```

Main lines, in order of rising 2θ (10° ≤ 2θ ≤ 90°):
index, 2θ (°), intensity
0 0 2, 13.13, 100
1 1 0, 19.59, 12
1 0 2, 21.11, 15
-1 1 2, 25.85, 20
1 2 2, 27.50, 21
0 2 -2, 28.21, 12

Entry 4:
For Li2Ni3SbO8, a structure optimized by DFT (GGA+U) gives the theoretical PXRD pattern in this record (Cu Kα, 1.54184 Å).

Crystal structure
```
data_Li2Ni3SbO8
_symmetry_space_group_name_H-M 'P -1'
_symmetry_Int_Tables_number 2
_cell_length_a 5.8592
_cell_length_b 5.8612
_cell_length_c 10.4712
_cell_angle_alpha 73.87
_cell_angle_beta 73.84
_cell_angle_gamma 60.14
loop_
_symmetry_equiv_pos_as_xyz
'x,y,z'
'-x,-y,-z'
loop_
_atom_site_label
_atom_site_fract_x
_atom_site_fract_y
_atom_site_fract_z
Li1 0.0635 0.0635 0.3096
Li2 0.4362 0.4351 0.1918
Ni1 0.0000 0.0000 0.0000
Ni2 0.0000 0.5000 0.0000
Ni3 0.0000 0.5000 0.5000
Ni4 0.5000 0.0000 0.0000
Ni5 0.5000 0.0000 0.5000
Ni6 0.5000 0.5000 0.5000
Sb1 0.2501 0.2503 0.7502
O1 0.0998 0.6195 0.1217
O2 0.1185 0.5997 0.6218
O3 0.1358 0.1351 0.0935
O4 0.1595 0.1193 0.6216
O5 0.3405 0.9008 0.8781
O6 0.3647 0.3641 0.4068
O7 0.3799 0.3422 0.8785
O8 0.4003 0.8394 0.3780
```

Main lines, in order of rising 2θ (10° ≤ 2θ ≤ 90°):
index, 2θ (°), intensity
1 1 0, 18.46, 100
1 1 4, 34.96, 21
1 2 3, 35.57, 33
2 0 -2, 43.10, 34
2 2 4, 43.22, 17
2 0 6, 61.85, 16

Entry 5:
For MgV2NiTe2O10, a structure optimized by DFT (GGA+U) gives the theoretical PXRD pattern in this record (Cu Kα, 1.54184 Å).

Crystal structure
```
data_MgV2NiTe2O10
_symmetry_space_group_name_H-M 'P 1'
_symmetry_Int_Tables_number 1
_cell_length_a 5.2727
_cell_length_b 6.5647
_cell_length_c 6.7589
_cell_angle_alpha 90.62
_cell_angle_beta 105.39
_cell_angle_gamma 101.74
loop_
_symmetry_equiv_pos_as_xyz
'x,y,z'
loop_
_atom_site_label
_atom_site_fract_x
_atom_site_fract_y
_atom_site_fract_z
Mg1 0.0000 0.0000 0.0000
V1 0.3731 0.3329 0.9569
V2 0.8521 0.4903 0.7777
Ni1 0.4543 0.8267 0.8208
Te1 0.0500 0.6210 0.2948
Te2 0.1434 0.1322 0.4835
O1 0.2230 0.2507 0.2446
O2 0.2509 0.5890 0.9269
O3 0.3357 0.9069 0.5376
O4 0.3737 0.0562 0.9630
O5 0.4515 0.3407 0.6866
O6 0.7572 0.4585 0.0632
O7 0.7944 0.7534 0.7985
O8 0.8879 0.4949 0.4928
O9 0.8882 0.8630 0.2363
O10 0.9650 0.2373 0.8225
```

Main lines, in order of rising 2θ (10° ≤ 2θ ≤ 90°):
index, 2θ (°), intensity
1 0 0, 17.86, 94
1 0 -1, 19.30, 100
1 0 1, 25.40, 59
1 -2 0, 29.76, 86
0 1 -2, 29.95, 44
1 1 -3, 43.45, 36